For LiPuCoO5, a cell relaxed with GGA+U gives the theoretical powder XRD pattern in this record (Cu Kα, 1.54184 Å).
No peak broadening, texture or thermal motion is included.

Top 6 peaks for 2θ from 10° to 90°, by angle:
Position (°2θ)  I/Imax
17.7  27
18.2  100
23.8  62
30.7  49
31.3  29
34.7  25

Structure:
Cell lengths 5.929, 5.929, 7.556 Å; angles 99.78, 99.78, 115.14 degrees
Fractional positions:
1 Li 0.024 0.976 0.750
2 Li 0.976 0.024 0.250
3 Pu 0.000 0.500 0.000
4 Pu 0.500 0.000 0.500
5 Co 0.476 0.524 0.750
6 Co 0.524 0.476 0.250
7 O 0.129 0.808 0.937
8 O 0.192 0.871 0.563
9 O 0.202 0.367 0.854
10 O 0.335 0.665 0.250
11 O 0.367 0.202 0.354
12 O 0.633 0.798 0.646
13 O 0.665 0.335 0.750
14 O 0.798 0.633 0.146
15 O 0.808 0.129 0.437
16 O 0.871 0.192 0.063


For Li2CoS2O8, a cell relaxed with GGA+U gives the theoretical powder XRD pattern in this record (Cu Kα, 1.54184 Å).
No peak broadening, texture or thermal motion is included.

Top 6 peaks for 2θ from 10° to 90°, by angle:
Position (°2θ)  I/Imax
15.9  100
23.4  65
24.3  54
25.8  35
30.2  41
32.1  38

Structure:
Cell lengths 5.034, 8.192, 8.924 Å; angles 90.00, 121.50, 90.00 degrees
Fractional positions:
1 Li 0.009 0.137 0.101
2 Li 0.009 0.363 0.601
3 Li 0.991 0.637 0.399
4 Li 0.991 0.863 0.899
5 Co 0.000 0.000 0.500
6 Co 0.000 0.500 0.000
7 S 0.333 0.695 0.801
8 S 0.333 0.805 0.301
9 S 0.667 0.195 0.699
10 S 0.667 0.305 0.199
11 O 0.183 0.580 0.652
12 O 0.183 0.920 0.152
13 O 0.204 0.636 0.245
14 O 0.204 0.864 0.745
15 O 0.274 0.648 0.943
16 O 0.274 0.852 0.443
17 O 0.323 0.196 0.624
18 O 0.323 0.304 0.124
19 O 0.677 0.696 0.876
20 O 0.677 0.804 0.376
21 O 0.726 0.148 0.557
22 O 0.726 0.352 0.057
23 O 0.796 0.136 0.255
24 O 0.796 0.364 0.755
25 O 0.817 0.080 0.848
26 O 0.817 0.420 0.348


For Li5Co5Sb2O12, a cell relaxed with GGA+U gives the theoretical powder XRD pattern in this record (Cu Kα, 1.54184 Å).
No peak broadening, texture or thermal motion is included.

Top 6 peaks for 2θ from 10° to 90°, by angle:
Position (°2θ)  I/Imax
18.0  64
19.2  47
23.1  57
36.1  34
41.5  100
42.8  43

Structure:
Cell lengths 5.315, 5.315, 10.072 Å; angles 95.78, 95.78, 120.63 degrees
Fractional positions:
1 Li 0.000 0.000 0.000
2 Li 0.089 0.420 0.243
3 Li 0.241 0.249 0.755
4 Li 0.580 0.911 0.757
5 Li 0.751 0.759 0.245
6 Co 0.330 0.670 0.000
7 Co 0.417 0.094 0.250
8 Co 0.507 0.493 0.500
9 Co 0.844 0.156 0.500
10 Co 0.906 0.583 0.750
11 Sb 0.175 0.825 0.500
12 Sb 0.664 0.336 0.000
13 O 0.031 0.694 0.117
14 O 0.126 0.089 0.381
15 O 0.202 0.554 0.621
16 O 0.306 0.969 0.883
17 O 0.398 0.382 0.119
18 O 0.446 0.798 0.379
19 O 0.539 0.181 0.617
20 O 0.618 0.602 0.881
21 O 0.698 0.066 0.120
22 O 0.819 0.461 0.383
23 O 0.911 0.874 0.619
24 O 0.934 0.302 0.880


For Li4Co3Sb5O16, a cell relaxed with GGA+U gives the theoretical powder XRD pattern in this record (Cu Kα, 1.54184 Å).
No peak broadening, texture or thermal motion is included.

Top 6 peaks for 2θ from 10° to 90°, by angle:
Position (°2θ)  I/Imax
16.9  82
18.4  54
18.7  100
23.7  60
33.5  60
34.7  63

Structure:
Cell lengths 10.513, 6.125, 10.802 Å; angles 90.00, 90.21, 90.00 degrees
Fractional positions:
1 Li 0.000 0.000 0.000
2 Li 0.005 0.500 0.505
3 Li 0.151 0.000 0.681
4 Li 0.174 0.500 0.181
5 Li 0.523 0.000 0.007
6 Li 0.533 0.500 0.536
7 Li 0.602 0.500 0.854
8 Li 0.615 0.000 0.349
9 Co 0.299 0.500 0.683
10 Co 0.307 0.000 0.176
11 Co 0.782 0.247 0.587
12 Co 0.782 0.753 0.587
13 Co 0.787 0.253 0.087
14 Co 0.787 0.747 0.087
15 Sb 0.296 0.252 0.920
16 Sb 0.296 0.748 0.920
17 Sb 0.309 0.246 0.430
18 Sb 0.309 0.754 0.430
19 Sb 0.525 0.000 0.669
20 Sb 0.537 0.500 0.165
21 Sb 0.774 0.000 0.834
22 Sb 0.785 0.500 0.332
23 Sb 0.981 0.500 0.821
24 Sb 0.987 0.000 0.320
25 O 0.191 0.000 0.992
26 O 0.197 0.500 0.000
27 O 0.198 0.261 0.766
28 O 0.198 0.739 0.766
29 O 0.204 0.500 0.508
30 O 0.207 0.000 0.507
31 O 0.218 0.242 0.273
32 O 0.218 0.758 0.273
33 O 0.405 0.500 0.850
34 O 0.406 0.221 0.067
35 O 0.406 0.779 0.067
36 O 0.414 0.000 0.838
37 O 0.419 0.000 0.362
38 O 0.419 0.252 0.593
39 O 0.419 0.748 0.593
40 O 0.423 0.500 0.387
41 O 0.642 0.219 0.758
42 O 0.642 0.781 0.758
43 O 0.654 0.000 0.533
44 O 0.664 0.276 0.257
45 O 0.664 0.724 0.257
46 O 0.665 0.500 0.026
47 O 0.698 0.000 0.003
48 O 0.703 0.500 0.501
49 O 0.866 0.000 0.673
50 O 0.879 0.500 0.172
51 O 0.889 0.236 0.905
52 O 0.889 0.764 0.905
53 O 0.894 0.500 0.655
54 O 0.898 0.263 0.410
55 O 0.898 0.737 0.410
56 O 0.900 0.000 0.155


For LiCo5SbO8, a cell relaxed with GGA+U gives the theoretical powder XRD pattern in this record (Cu Kα, 1.54184 Å).
No peak broadening, texture or thermal motion is included.

Top 6 peaks for 2θ from 10° to 90°, by angle:
Position (°2θ)  I/Imax
18.1  73
33.3  53
33.9  67
34.2  100
35.1  64
41.7  53

Structure:
Cell lengths 6.102, 6.102, 6.363 Å; angles 119.91, 119.91, 58.12 degrees
Fractional positions:
1 Li 0.000 0.000 0.000
2 Co 0.000 0.500 0.000
3 Co 0.164 0.164 0.432
4 Co 0.500 0.000 0.000
5 Co 0.500 0.500 0.500
6 Co 0.836 0.836 0.568
7 Sb 0.500 0.500 0.000
8 O 0.256 0.738 0.770
9 O 0.262 0.744 0.230
10 O 0.263 0.263 0.247
11 O 0.272 0.272 0.801
12 O 0.728 0.728 0.199
13 O 0.737 0.737 0.753
14 O 0.738 0.256 0.770
15 O 0.744 0.262 0.230


For LiCo5SbO8, a cell relaxed with GGA+U gives the theoretical powder XRD pattern in this record (Cu Kα, 1.54184 Å).
No peak broadening, texture or thermal motion is included.

Top 6 peaks for 2θ from 10° to 90°, by angle:
Position (°2θ)  I/Imax
18.1  46
30.0  33
33.1  25
34.5  100
41.7  42
62.3  31

Structure:
Cell lengths 6.324, 6.324, 6.324 Å; angles 56.20, 56.20, 56.20 degrees
Fractional positions:
1 Li 0.000 0.000 0.000
2 Co 0.000 0.500 0.500
3 Co 0.153 0.153 0.153
4 Co 0.500 0.000 0.500
5 Co 0.500 0.500 0.000
6 Co 0.847 0.847 0.847
7 Sb 0.500 0.500 0.500
8 O 0.259 0.736 0.736
9 O 0.264 0.264 0.741
10 O 0.264 0.741 0.264
11 O 0.272 0.272 0.272
12 O 0.728 0.728 0.728
13 O 0.736 0.259 0.736
14 O 0.736 0.736 0.259
15 O 0.741 0.264 0.264


For Li5Co3Sb2O10, a cell relaxed with GGA+U gives the theoretical powder XRD pattern in this record (Cu Kα, 1.54184 Å).
No peak broadening, texture or thermal motion is included.

Top 6 peaks for 2θ from 10° to 90°, by angle:
Position (°2θ)  I/Imax
17.8  51
18.0  100
41.6  45
41.7  51
42.2  42
60.9  37

Structure:
Cell lengths 5.251, 5.305, 8.089 Å; angles 103.68, 107.93, 99.50 degrees
Fractional positions:
1 Li 0.000 0.000 0.000
2 Li 0.194 0.067 0.690
3 Li 0.396 0.729 0.894
4 Li 0.599 0.263 0.106
5 Li 0.794 0.901 0.306
6 Co 0.015 0.471 0.496
7 Co 0.373 0.205 0.398
8 Co 0.604 0.791 0.599
9 Sb 0.206 0.607 0.198
10 Sb 0.793 0.391 0.796
11 O 0.007 0.279 0.239
12 O 0.175 0.358 0.950
13 O 0.192 0.832 0.432
14 O 0.392 0.930 0.154
15 O 0.433 0.462 0.666
16 O 0.570 0.550 0.335
17 O 0.599 0.067 0.837
18 O 0.805 0.148 0.568
19 O 0.824 0.640 0.042
20 O 0.984 0.708 0.742


For LiCo5SbO8, a cell relaxed with GGA+U gives the theoretical powder XRD pattern in this record (Cu Kα, 1.54184 Å).
No peak broadening, texture or thermal motion is included.

Top 6 peaks for 2θ from 10° to 90°, by angle:
Position (°2θ)  I/Imax
17.5  63
28.5  34
32.9  42
34.1  38
34.3  100
55.1  35

Structure:
Cell lengths 6.273, 6.273, 6.126 Å; angles 118.84, 118.84, 58.21 degrees
Fractional positions:
1 Li 0.000 0.000 0.000
2 Co 0.251 0.251 0.286
3 Co 0.337 0.850 0.659
4 Co 0.466 0.466 0.037
5 Co 0.786 0.786 0.583
6 Co 0.850 0.337 0.659
7 Sb 0.837 0.837 0.156
8 O 0.060 0.624 0.905
9 O 0.065 0.065 0.370
10 O 0.070 0.632 0.415
11 O 0.123 0.123 0.902
12 O 0.576 0.576 0.423
13 O 0.617 0.617 0.929
14 O 0.624 0.060 0.905
15 O 0.632 0.070 0.415


For LiCoSiO4, a cell relaxed with GGA+U gives the theoretical powder XRD pattern in this record (Cu Kα, 1.54184 Å).
No peak broadening, texture or thermal motion is included.

Top 6 peaks for 2θ from 10° to 90°, by angle:
Position (°2θ)  I/Imax
21.8  100
25.7  77
31.6  75
34.3  68
49.2  35
66.1  51

Structure:
Cell lengths 8.576, 8.576, 8.576 Å; angles 107.70, 107.70, 107.70 degrees
Fractional positions:
1 Li 0.013 0.794 0.193
2 Li 0.193 0.013 0.794
3 Li 0.307 0.480 0.705
4 Li 0.480 0.705 0.307
5 Li 0.705 0.307 0.480
6 Li 0.794 0.193 0.013
7 Co 0.042 0.636 0.820
8 Co 0.119 0.528 0.350
9 Co 0.350 0.119 0.528
10 Co 0.528 0.350 0.119
11 Co 0.636 0.820 0.042
12 Co 0.820 0.042 0.636
13 Si 0.155 0.379 0.971
14 Si 0.379 0.971 0.155
15 Si 0.462 0.864 0.678
16 Si 0.678 0.462 0.864
17 Si 0.864 0.678 0.462
18 Si 0.971 0.155 0.379
19 O 0.170 0.499 0.853
20 O 0.185 0.222 0.512
21 O 0.221 0.878 0.943
22 O 0.222 0.512 0.185
23 O 0.276 0.958 0.289
24 O 0.289 0.276 0.958
25 O 0.312 0.650 0.587
26 O 0.352 0.992 0.670
27 O 0.499 0.853 0.170
28 O 0.512 0.185 0.222
29 O 0.558 0.579 0.889
30 O 0.579 0.889 0.558
31 O 0.587 0.312 0.650
32 O 0.607 0.935 0.888
33 O 0.650 0.587 0.312
34 O 0.670 0.352 0.992
35 O 0.853 0.170 0.499
36 O 0.878 0.943 0.221
37 O 0.888 0.607 0.935
38 O 0.889 0.558 0.579
39 O 0.935 0.888 0.607
40 O 0.943 0.221 0.878
41 O 0.958 0.289 0.276
42 O 0.992 0.670 0.352